Structure and theoretical X-ray diffraction stick pattern of K4NdHo3Te8 (a GGA-PBE-relaxed structure; Cu Kα X-rays).

The 12 most intense peaks (5° ≤ 2θ ≤ 70°), low angle first:
2theta	I_rel
10.7	46
23.0	7
27.0	100
34.2	19
37.1	35
39.9	37
41.5	11
46.6	13
48.8	19
55.6	11
60.8	11
64.8	19

Atomic structure:
Unit cell a=9.033 b=9.033 c=9.760 alpha=117.60 beta=117.60 gamma=60.00
Positions (direct):
K: 0.000 0.000 0.000
K: 0.000 0.500 0.000
K: 0.500 0.000 0.000
K: 0.500 0.500 0.000
Nd: 0.000 0.000 0.500
Ho: 0.000 0.500 0.500
Ho: 0.500 0.000 0.500
Ho: 0.500 0.500 0.500
Te: 0.241 0.241 0.710
Te: 0.241 0.729 0.710
Te: 0.264 0.264 0.293
Te: 0.271 0.759 0.290
Te: 0.729 0.241 0.710
Te: 0.736 0.736 0.707
Te: 0.759 0.271 0.290
Te: 0.759 0.759 0.290

=====

Structure and theoretical X-ray diffraction stick pattern of MnZnIn2 (a GGA-PBE-relaxed structure; Cu Kα X-rays).

The 12 most intense peaks (5° ≤ 2θ ≤ 70°), low angle first:
2theta	I_rel
29.4	38
31.2	35
31.3	24
32.0	54
37.4	60
38.8	100
39.7	92
48.4	15
51.2	25
63.0	20
67.7	15
69.7	14

Atomic structure:
Unit cell a=6.149 b=6.149 c=4.817 alpha=109.75 beta=109.75 gamma=27.78
Positions (direct):
Mn: 0.000 0.000 0.000
Zn: 0.310 0.310 0.757
In: 0.512 0.512 0.506
In: 0.723 0.723 0.177